Record 1
La4Pa: theoretical X-ray diffraction stick pattern (Cu Ka), based on a structure optimized by DFT (PBE).
Kinematic intensities with the Lorentz-polarization factor, no thermal factor.

Unit cell a=5.8577 b=5.8577 c=5.8577 alpha=90.00 beta=90.00 gamma=90.00
Space group Pm-3m (No. 221)
Asymmetric unit:
La (0.0000, 0.0000, 0.0000)
La (0.0000, 0.5000, 0.5000)
Pa (0.5000, 0.5000, 0.5000)

The 8 most intense peaks (15° ≤ 2θ ≤ 90°), in order of falling intensity:
d_spacing  Position (°2θ)  intensity  hkl
2.929  30.5  1000  2 0 0
2.071  43.7  752  2 2 0
5.858  15.1  442  1 0 0
4.142  21.5  401  1 1 0
3.382  26.4  342  1 1 1
1.310  72.1  342  4 2 0
1.691  54.2  266  2 2 2
1.196  80.3  257  4 2 2


Record 2
La3PaPd12: theoretical X-ray diffraction stick pattern (Cu Ka), based on a structure optimized by DFT (PBE).
Kinematic intensities with the Lorentz-polarization factor, no thermal factor.

Unit cell a=4.2067 b=4.2067 c=16.8534 alpha=90.00 beta=90.00 gamma=90.00
Space group P4/mmm (No. 123)
Asymmetric unit:
La (0.0000, 0.0000, 0.0000)
La (0.0000, 0.0000, 0.2480)
Pa (0.0000, 0.0000, 0.5000)
Pd (0.0000, 0.5000, 0.1269)
Pd (0.0000, 0.5000, 0.3838)
Pd (0.5000, 0.5000, 0.0000)
Pd (0.5000, 0.5000, 0.2557)
Pd (0.5000, 0.5000, 0.5000)

The 8 most intense peaks (15° ≤ 2θ ≤ 90°), in order of falling intensity:
d_spacing  Position (°2θ)  intensity  hkl
2.430  37.0  1000  1 1 4
2.104  43.0  489  2 0 0
1.488  62.4  313  2 2 0
1.269  74.9  249  3 1 4
1.270  74.7  112  1 1 12
1.215  78.8  104  2 2 8
4.209  21.1  33  0 0 4
2.976  30.0  29  1 0 4


Record 3
LaPaPd2: theoretical X-ray diffraction stick pattern (Cu Ka), based on a structure optimized by DFT (PBE).
Kinematic intensities with the Lorentz-polarization factor, no thermal factor.

Unit cell a=3.6010 b=3.6010 c=7.2933 alpha=90.00 beta=90.00 gamma=90.00
Space group P4/mmm (No. 123)
Asymmetric unit:
La (0.0000, 0.0000, 0.0000)
Pa (0.0000, 0.0000, 0.5000)
Pd (0.5000, 0.5000, 0.2934)

The 8 most intense peaks (15° ≤ 2θ ≤ 90°), in order of falling intensity:
d_spacing  Position (°2θ)  intensity  hkl
2.562  35.0  1000  1 0 2
2.546  35.2  549  1 1 0
1.473  63.1  364  2 1 2
1.800  50.7  196  2 0 0
1.482  62.7  133  1 1 4
2.015  45.0  102  1 0 3
1.139  85.2  90  3 1 0
1.281  74.0  82  2 0 4


Record 4
LaPmPaRh3: theoretical X-ray diffraction stick pattern (Cu Ka), based on a structure optimized by DFT (PBE).
Kinematic intensities with the Lorentz-polarization factor, no thermal factor.

Unit cell a=6.8070 b=14.7657 c=6.3180 alpha=90.00 beta=115.65 gamma=90.00
Space group C2/c (No. 15)
Asymmetric unit:
La (0.0000, 0.2241, 0.2500)
Pm (0.0000, 0.4066, 0.7500)
Pa (0.0000, 0.0425, 0.7500)
Rh (0.0000, 0.2085, 0.7500)
Rh (0.2285, 0.4181, 0.4199)

The 8 most intense peaks (15° ≤ 2θ ≤ 90°), in order of falling intensity:
d_spacing  Position (°2θ)  intensity  hkl
2.847  31.4  1000  1 3 1
2.769  32.3  695  2 0 -2
2.661  33.7  378  1 5 0
2.157  41.9  326  1 5 -2
2.055  44.1  314  3 3 -1
3.068  29.1  266  2 0 0
2.256  40.0  266  0 6 1
1.745  52.5  190  2 0 2


Record 5
LaPr2PaRu2: theoretical X-ray diffraction stick pattern (Cu Ka), based on a structure optimized by DFT (PBE).
Kinematic intensities with the Lorentz-polarization factor, no thermal factor.

Unit cell a=7.2878 b=13.4561 c=6.9496 alpha=90.00 beta=90.00 gamma=90.00
Space group Ibam (No. 72)
Asymmetric unit:
La (0.0000, 0.0000, 0.2500)
Pr (0.1998, 0.3025, 0.0000)
Pa (0.0000, 0.5000, 0.2500)
Ru (0.2060, 0.4100, 0.5000)

The 8 most intense peaks (15° ≤ 2θ ≤ 90°), in order of falling intensity:
d_spacing  Position (°2θ)  intensity  hkl
2.515  35.7  1000  2 0 2
2.796  32.0  783  1 4 1
3.087  28.9  733  0 2 2
3.204  27.8  712  2 2 0
1.527  60.6  295  2 8 0
2.472  36.3  282  2 4 0
2.417  37.2  273  0 4 2
1.846  49.4  230  1 4 3


Record 6
LaPu2PaSb4: theoretical X-ray diffraction stick pattern (Cu Ka), based on a structure optimized by DFT (PBE).
Kinematic intensities with the Lorentz-polarization factor, no thermal factor.

Unit cell a=6.3159 b=6.3159 c=12.6405 alpha=90.00 beta=90.00 gamma=90.00
Space group I-4m2 (No. 119)
Asymmetric unit:
La (0.0000, 0.0000, 0.0000)
Pu (0.0000, 0.0000, 0.5000)
Pu (0.0000, 0.5000, 0.2500)
Pa (0.0000, 0.5000, 0.7500)
Sb (0.0000, 0.0000, 0.2542)
Sb (0.0000, 0.5000, 0.5045)

The 8 most intense peaks (15° ≤ 2θ ≤ 90°), in order of falling intensity:
d_spacing  Position (°2θ)  intensity  hkl
3.159  28.3  1000  2 0 0
2.234  40.4  774  2 2 0
1.413  66.2  362  4 2 0
1.824  50.0  279  2 2 4
1.290  73.4  268  4 2 4
1.579  58.4  131  4 0 0
3.647  24.4  127  1 1 2
1.117  87.3  88  4 4 0


Record 7
Rb4LaPa3S12: theoretical X-ray diffraction stick pattern (Cu Ka), based on a structure optimized by DFT (PBE).
Kinematic intensities with the Lorentz-polarization factor, no thermal factor.

Unit cell a=10.7286 b=10.7286 c=10.7286 alpha=90.00 beta=90.00 gamma=90.00
Space group Im-3m (No. 229)
Asymmetric unit:
Rb (0.2500, 0.2500, 0.2500)
La (0.0000, 0.0000, 0.0000)
Pa (0.0000, 0.0000, 0.5000)
S (0.0000, 0.0000, 0.2621)
S (0.0000, 0.2500, 0.5000)

The 8 most intense peaks (15° ≤ 2θ ≤ 90°), in order of falling intensity:
d_spacing  Position (°2θ)  intensity  hkl
3.793  23.5  1000  2 2 0
2.682  33.4  475  4 0 0
2.190  41.2  469  4 2 2
5.364  16.5  396  2 0 0
1.897  48.0  334  4 4 0
1.434  65.1  253  6 4 2
1.696  54.1  220  6 2 0
2.399  37.5  205  4 2 0


Record 8
La5PaRh6: theoretical X-ray diffraction stick pattern (Cu Ka), based on a structure optimized by DFT (PBE).
Kinematic intensities with the Lorentz-polarization factor, no thermal factor.

Unit cell a=4.8692 b=7.2544 c=8.9062 alpha=113.77 beta=105.79 gamma=90.21
Space group P-1 (No. 2)
Asymmetric unit:
La (0.0000, 0.0000, 0.0000)
La (0.3250, 0.3256, 0.6489)
La (0.3349, 0.8358, 0.6687)
Pa (0.0000, 0.5000, 0.0000)
Rh (0.1374, 0.4122, 0.2779)
Rh (0.1389, 0.8649, 0.2783)
Rh (0.4995, 0.7112, 0.0002)

The 8 most intense peaks (15° ≤ 2θ ≤ 90°), in order of falling intensity:
d_spacing  Position (°2θ)  intensity  hkl
2.540  35.3  1000  1 -2 2
2.534  35.4  993  1 2 -3
2.435  36.9  507  2 0 -1
2.593  34.6  443  0 0 3
1.775  51.5  285  2 0 -4
1.488  62.4  171  0 4 1
1.484  62.6  168  0 4 -5
1.814  50.3  166  0 4 -2


Record 9
LaPaRu: theoretical X-ray diffraction stick pattern (Cu Ka), based on a structure optimized by DFT (PBE).
Kinematic intensities with the Lorentz-polarization factor, no thermal factor.

Unit cell a=4.9988 b=4.9988 c=6.4958 alpha=90.00 beta=90.00 gamma=90.00
Space group P4/nmm (No. 129, origin choice 2)
Asymmetric unit:
La (0.2500, 0.2500, 0.1255)
Pa (0.2500, 0.7500, 0.5000)
Ru (0.2500, 0.2500, 0.6565)

The 8 most intense peaks (15° ≤ 2θ ≤ 90°), in order of falling intensity:
d_spacing  Position (°2θ)  intensity  hkl
3.105  28.8  1000  1 1 1
2.499  35.9  869  2 0 0
2.724  32.9  549  1 0 2
2.392  37.6  503  1 1 2
1.841  49.5  344  2 1 2
1.767  51.7  309  2 2 0
1.476  63.0  300  1 1 4
1.133  85.8  262  3 1 4


Record 10
La3PaS7: theoretical X-ray diffraction stick pattern (Cu Ka), based on a structure optimized by DFT (PBE).
Kinematic intensities with the Lorentz-polarization factor, no thermal factor.

Unit cell a=9.3049 b=13.4402 c=9.6708 alpha=90.00 beta=90.00 gamma=90.00
Space group C222_1 (No. 20)
Asymmetric unit:
La (0.0006, 0.0000, 0.0000)
La (0.2296, 0.2719, 0.7502)
Pa (0.0000, 0.5000, 0.0000)
S (0.0000, 0.1275, 0.2500)
S (0.0000, 0.1340, 0.7500)
S (0.0000, 0.4205, 0.7500)
S (0.2119, 0.3736, 0.0291)
S (0.2121, 0.3737, 0.4712)

The 8 most intense peaks (15° ≤ 2θ ≤ 90°), in order of falling intensity:
d_spacing  Position (°2θ)  intensity  hkl
3.825  23.3  1000  2 2 0
3.925  22.7  986  0 2 2
2.373  37.9  845  2 4 2
3.355  26.6  423  2 0 2
2.044  44.3  363  2 2 4
2.001  45.3  294  4 2 2
2.418  37.2  257  0 0 4
2.326  38.7  207  4 0 0


Record 11
La3PaTl3S8: theoretical X-ray diffraction stick pattern (Cu Ka), based on a structure optimized by DFT (PBE).
Kinematic intensities with the Lorentz-polarization factor, no thermal factor.

Unit cell a=8.4835 b=8.4835 c=22.4757 alpha=90.00 beta=90.00 gamma=120.00
Space group R-3m (No. 166, hexagonal axes)
Asymmetric unit:
La (0.0000, 0.5000, 0.0000)
Pa (0.0000, 0.0000, 0.0000)
Tl (0.0000, 0.5000, 0.5000)
S (0.0000, 0.0000, 0.2658)
S (0.0185, 0.5092, 0.7317)

The 8 most intense peaks (15° ≤ 2θ ≤ 90°), in order of falling intensity:
d_spacing  Position (°2θ)  intensity  hkl
3.075  29.0  1000  0 2 4
3.492  25.5  587  2 0 2
2.232  40.4  369  2 0 8
2.121  42.6  358  2 2 0
3.746  23.8  257  0 0 6
1.846  49.4  235  2 2 6
1.746  52.4  206  4 0 4
1.348  69.8  174  2 4 4


Record 12
La2PaSb3: theoretical X-ray diffraction stick pattern (Cu Ka), based on a structure optimized by DFT (PBE).
Kinematic intensities with the Lorentz-polarization factor, no thermal factor.

Unit cell a=9.0768 b=12.8192 c=27.1451 alpha=90.00 beta=90.00 gamma=90.00
Space group Fddd (No. 70, origin choice 2)
Asymmetric unit:
La (0.1250, 0.1250, 0.0433)
La (0.1250, 0.1250, 0.3731)
Pa (0.1250, 0.1250, 0.5415)
Sb (0.1112, 0.3750, 0.8750)
Sb (0.1181, 0.3687, 0.7107)

The 8 most intense peaks (15° ≤ 2θ ≤ 90°), in order of falling intensity:
d_spacing  Position (°2θ)  intensity  hkl
3.204  27.8  1000  0 4 0
2.267  39.8  637  2 4 6
1.433  65.1  232  2 8 6
1.848  49.3  137  0 4 12
1.852  49.2  136  4 4 0
1.307  72.3  128  0 8 12
1.602  57.5  127  0 8 0
2.262  39.9  127  0 0 12


Record 13
LaTb2PaSb4: theoretical X-ray diffraction stick pattern (Cu Ka), based on a structure optimized by DFT (PBE).
Kinematic intensities with the Lorentz-polarization factor, no thermal factor.

Unit cell a=6.2878 b=6.2878 c=12.5603 alpha=90.00 beta=90.00 gamma=90.00
Space group I-4m2 (No. 119)
Asymmetric unit:
La (0.0000, 0.0000, 0.0000)
Tb (0.0000, 0.0000, 0.5000)
Tb (0.0000, 0.5000, 0.2500)
Pa (0.0000, 0.5000, 0.7500)
Sb (0.0000, 0.0000, 0.2545)
Sb (0.0000, 0.5000, 0.5036)

The 8 most intense peaks (15° ≤ 2θ ≤ 90°), in order of falling intensity:
d_spacing  Position (°2θ)  intensity  hkl
3.143  28.4  1000  2 0 0
2.222  40.6  766  2 2 0
1.405  66.5  353  4 2 0
1.814  50.3  274  2 2 4
1.283  73.9  260  4 2 4
1.571  58.8  128  4 0 0
1.111  87.9  86  4 4 0
3.629  24.5  51  1 1 2